[1]
Na3NpH2O6: simulated powder XRD pattern (Cu Kα), based on a GGA-PBE-relaxed structure.

Peak list (10 most intense, 10° ≤ 2θ ≤ 90°, in order of rising 2θ)
two_theta  d (Å)  I/Imax
17.28  5.131  58
17.50  5.068  100
19.23  4.615  85
21.39  4.155  70
27.63  3.229  45
30.16  2.964  35
30.75  2.907  34
31.36  2.852  26
32.64  2.744  27
38.65  2.330  36

a = 6.063 Å, b = 20.525 Å, c = 10.334 Å
α = 90.00°, β = 90.00°, γ = 90.00°
Space group Fdd2 (No. 43)
Asymmetric unit:
Na: 0.000 0.000 0.000 [8 per cell]
Na: 0.006 0.410 0.840 [16 per cell]
Np: 0.000 0.000 0.666 [8 per cell]
H: 0.011 0.359 0.364 [16 per cell]
O: 0.057 0.317 0.404 [16 per cell]
O: 0.112 0.304 0.785 [16 per cell]
O: 0.114 0.302 0.049 [16 per cell]



[2]
NaNpH2O4: simulated powder XRD pattern (Cu Kα), based on a GGA-PBE-relaxed structure.

Peak list (10 most intense, 10° ≤ 2θ ≤ 90°, in order of rising 2θ)
two_theta  d (Å)  I/Imax
15.89  5.576  29
18.41  4.819  100
21.66  4.102  24
23.40  3.801  32
28.92  3.087  47
29.95  2.983  85
34.87  2.573  20
44.70  2.027  17
46.65  1.947  20
48.44  1.879  27

a = 5.955 Å, b = 7.603 Å, c = 8.204 Å
α = 90.00°, β = 90.00°, γ = 90.00°
Space group P2_12_12_1 (No. 19)
Asymmetric unit:
Na: 0.006 0.026 0.333 [4 per cell]
Np: 0.038 0.235 0.816 [4 per cell]
H: 0.127 0.882 0.999 [4 per cell]
H: 0.229 0.429 0.435 [4 per cell]
O: 0.096 0.928 0.888 [4 per cell]
O: 0.133 0.538 0.878 [4 per cell]
O: 0.187 0.789 0.199 [4 per cell]
O: 0.241 0.759 0.567 [4 per cell]



Q: What is the formula in the first record?
A: Na3NpH2O6